[1]
The following is a computed powder diffractogram of PtN2. It was derived from a crystal structure in the Materials Project, relaxed with GGA-PBE, using Cu Kα.
Lines closer than 0.1° are merged.

Crystal structure
Cell lengths 3.2150, 3.2150, 3.9172 Å; angles 90.00, 90.00, 120.00 degrees
Space group P-6m2 (No. 187)
Asymmetric unit:
Pt (0.0000, 0.0000, 0.0000) [1 per cell]
N (0.3333, 0.6667, 0.3470) [2 per cell]

Main lines, in order of rising 2θ (2θ = 10–80°):
2θ = 22.70°, I = 532, (0 0 1); 2θ = 32.15°, I = 711, (1 0 0); 2θ = 39.72°, I = 1000, (1 0 1); 2θ = 57.32°, I = 198, (1 1 0); 2θ = 57.53°, I = 330, (1 0 2); 2θ = 62.45°, I = 220, (1 1 1); 2θ = 71.99°, I = 174, (2 0 1); 2θ = 76.69°, I = 130, (1 1 2)



[2]
The following is a computed powder diffractogram of PtS6N2. It was derived from a crystal structure in the Materials Project, relaxed with GGA-PBE, using Cu Kα.
Lines closer than 0.1° are merged.

Crystal structure
Cell lengths 7.163, 17.726, 5.375 Å; angles 90.00, 90.00, 90.00 degrees
Space group Cmmm (No. 65)
Asymmetric unit:
Pt (0.000, 0.000, 0.000) [2 per cell]
S (0.000, 0.177, 0.000) [4 per cell]
S (0.207, 0.099, 0.000) [8 per cell]
N (0.000, 0.334, 0.500) [4 per cell]

Main lines, in order of rising 2θ (2θ = 10–80°):
2θ = 13.33°, I = 1000, (1 1 0); 2θ = 16.49°, I = 789, (0 0 1); 2θ = 19.31°, I = 331, (0 2 1); 2θ = 21.26°, I = 881, (1 1 1); 2θ = 32.74°, I = 199, (1 5 1); 2θ = 36.05°, I = 177, (1 1 2); 2θ = 36.32°, I = 242, (2 4 1); 2θ = 43.11°, I = 194, (2 6 1)



[3]
The following is a computed powder diffractogram of Si7PtN10. It was derived from a crystal structure in the Materials Project, relaxed with GGA-PBE, using Cu Kα.
Lines closer than 0.1° are merged.

Crystal structure
Cell lengths 6.750, 6.957, 9.773 Å; angles 90.00, 103.80, 90.00 degrees
Space group Pc (No. 7)
Asymmetric unit:
Si (0.000, 0.015, 0.000) [2 per cell]
Si (0.103, 0.367, 0.660) [2 per cell]
Si (0.298, 0.381, 0.985) [2 per cell]
Si (0.564, 0.407, 0.751) [2 per cell]
Si (0.745, 0.379, 0.055) [2 per cell]
Si (0.812, 0.023, 0.700) [2 per cell]
Si (0.935, 0.367, 0.360) [2 per cell]
Pt (0.463, 0.112, 0.885) [2 per cell]
N (0.001, 0.143, 0.640) [2 per cell]
N (0.147, 0.421, 0.495) [2 per cell]
N (0.207, 0.154, 0.997) [2 per cell]
N (0.323, 0.381, 0.799) [2 per cell]
N (0.526, 0.435, 0.110) [2 per cell]
N (0.625, 0.168, 0.732) [2 per cell]
N (0.736, 0.499, 0.399) [2 per cell]
N (0.776, 0.127, 0.046) [2 per cell]
N (0.909, 0.120, 0.347) [2 per cell]
N (0.943, 0.456, 0.194) [2 per cell]

Main lines, in order of rising 2θ (2θ = 10–80°):
2θ = 15.79°, I = 1000, (0 1 1); 2θ = 19.32°, I = 923, (1 1 -1); 2θ = 22.26°, I = 410, (1 1 1); 2θ = 25.65°, I = 478, (1 0 2); 2θ = 27.27°, I = 489, (2 0 0); 2θ = 31.96°, I = 325, (2 1 -2); 2θ = 37.24°, I = 304, (2 2 -1); 2θ = 38.48°, I = 428, (0 2 3)



[4]
The following is a computed powder diffractogram of Sr2PtN2. It was derived from a crystal structure in the Materials Project, relaxed with GGA-PBE, using Cu Kα.
Lines closer than 0.1° are merged.

Crystal structure
Cell lengths 3.885, 3.885, 12.861 Å; angles 90.00, 90.00, 90.00 degrees
Space group I4/mmm (No. 139)
Asymmetric unit:
Sr (0.000, 0.000, 0.149) [4 per cell]
Pt (0.000, 0.000, 0.500) [2 per cell]
N (0.000, 0.000, 0.350) [4 per cell]

Main lines, in order of rising 2θ (2θ = 10–80°):
2θ = 13.77°, I = 246, (0 0 2); 2θ = 31.07°, I = 1000, (1 0 3); 2θ = 32.60°, I = 627, (1 1 0); 2θ = 42.14°, I = 273, (0 0 6); 2θ = 46.77°, I = 225, (2 0 0); 2θ = 54.28°, I = 231, (1 1 6); 2θ = 57.22°, I = 396, (2 1 3); 2θ = 64.77°, I = 220, (2 0 6)